1.
For La2Zn6GaRu, a crystal structure in Alexandria, relaxed with GGA-PBE gives the simulated powder diffractogram in this record (Cu Kα, 1.54184 Å).
Kinematic intensities with the Lorentz-polarization factor, no thermal factor.

Structure:
Cell: 6.987 8.845 6.786 Å, 90.00 90.00 90.00°
Element x y z (fractional)
La (0.250, 0.017, 0.238)
La (0.250, 0.483, 0.238)
La (0.750, 0.517, 0.762)
La (0.750, 0.983, 0.762)
Zn (0.063, 0.250, 0.605)
Zn (0.076, 0.750, 0.936)
Zn (0.250, 0.502, 0.756)
Zn (0.250, 0.998, 0.756)
Zn (0.424, 0.750, 0.936)
Zn (0.437, 0.250, 0.605)
Zn (0.563, 0.750, 0.395)
Zn (0.576, 0.250, 0.064)
Zn (0.750, 0.002, 0.244)
Zn (0.750, 0.498, 0.244)
Zn (0.924, 0.250, 0.064)
Zn (0.937, 0.750, 0.395)
Ga (0.250, 0.750, 0.567)
Ga (0.750, 0.250, 0.433)
Ru (0.250, 0.250, 0.930)
Ru (0.750, 0.750, 0.070)

Main lines, by angle (2θ from 5° to 70°):
two_theta	Rel. int.
25.50	38.8
27.24	51.5
32.66	42.4
33.28	100.0
36.93	25.4
38.35	25.8
40.81	48.1
41.98	20.0
42.28	38.7
42.39	45.2
51.80	19.4
63.48	17.5

***

2.
For LaZn2GaRu2, a crystal structure in Alexandria, relaxed with GGA-PBE gives the simulated powder diffractogram in this record (Cu Kα, 1.54184 Å).
Kinematic intensities with the Lorentz-polarization factor, no thermal factor.

Structure:
Cell: 4.623 4.623 5.708 Å, 90.00 90.00 90.00°
Element x y z (fractional)
La (0.000, 0.000, 0.000)
Zn (0.500, 0.500, 0.258)
Zn (0.500, 0.500, 0.742)
Ga (0.000, 0.000, 0.500)
Ru (0.000, 0.500, 0.500)
Ru (0.500, 0.000, 0.500)

Main lines, by angle (2θ from 5° to 70°):
two_theta	Rel. int.
15.52	37.8
27.28	17.7
31.34	21.8
31.54	78.3
37.02	91.7
38.97	100.0
50.83	22.2
54.84	57.4
55.92	18.8
56.29	33.4
65.97	18.3
69.30	13.8

***

3.
For La4GaS3, a crystal structure in Alexandria, relaxed with GGA-PBE gives the simulated powder diffractogram in this record (Cu Kα, 1.54184 Å).
Kinematic intensities with the Lorentz-polarization factor, no thermal factor.

Structure:
Cell: 5.977 5.977 12.005 Å, 90.00 90.00 90.00°
Element x y z (fractional)
La (0.000, 0.000, 0.244)
La (0.000, 0.000, 0.756)
La (0.000, 0.500, 0.000)
La (0.000, 0.500, 0.500)
La (0.500, 0.000, 0.000)
La (0.500, 0.000, 0.500)
La (0.500, 0.500, 0.256)
La (0.500, 0.500, 0.744)
Ga (0.000, 0.000, 0.500)
Ga (0.500, 0.500, 0.000)
S (0.000, 0.000, 0.000)
S (0.000, 0.500, 0.250)
S (0.000, 0.500, 0.750)
S (0.500, 0.000, 0.250)
S (0.500, 0.000, 0.750)
S (0.500, 0.500, 0.500)

Main lines, by angle (2θ from 5° to 70°):
two_theta	Rel. int.
25.78	68.8
26.81	2.2
29.77	45.5
29.90	90.7
42.73	100.0
50.46	11.3
50.63	23.1
52.99	34.9
61.83	5.3
62.11	10.8
68.26	9.2
68.40	4.7

***

4.
For La2Ga2S, a crystal structure in Alexandria, relaxed with GGA-PBE gives the simulated powder diffractogram in this record (Cu Kα, 1.54184 Å).
Kinematic intensities with the Lorentz-polarization factor, no thermal factor.

Structure:
Cell: 7.880 7.880 4.653 Å, 90.00 90.00 90.00°
Element x y z (fractional)
La (0.184, 0.316, 0.000)
La (0.316, 0.816, 0.000)
La (0.684, 0.184, 0.000)
La (0.816, 0.684, 0.000)
Ga (0.113, 0.613, 0.500)
Ga (0.387, 0.113, 0.500)
Ga (0.613, 0.887, 0.500)
Ga (0.887, 0.387, 0.500)
S (0.000, 0.000, 0.000)
S (0.500, 0.500, 0.000)

Main lines, by angle (2θ from 5° to 70°):
two_theta	Rel. int.
15.91	14.8
19.07	15.1
22.57	12.4
29.71	22.9
31.86	100.0
36.04	17.7
38.71	19.3
41.31	11.1
47.58	16.1
51.71	15.9
62.94	13.8
65.79	12.1

***

5.
For LaTl2GaS4, a crystal structure in Alexandria, relaxed with GGA-PBE gives the simulated powder diffractogram in this record (Cu Kα, 1.54184 Å).
Kinematic intensities with the Lorentz-polarization factor, no thermal factor.

Structure:
Cell: 8.363 8.363 7.910 Å, 118.20 118.20 90.37°
Element x y z (fractional)
La (0.000, 0.500, 0.000)
La (0.500, 0.000, 0.500)
Tl (0.000, 0.000, 0.000)
Tl (0.000, 0.000, 0.500)
Tl (0.000, 0.500, 0.500)
Tl (0.500, 0.000, 0.000)
Ga (0.500, 0.500, 0.000)
Ga (0.500, 0.500, 0.500)
S (0.276, 0.724, 0.019)
S (0.276, 0.724, 0.481)
S (0.301, 0.313, 0.056)
S (0.313, 0.301, 0.556)
S (0.687, 0.699, 0.444)
S (0.699, 0.687, 0.944)
S (0.724, 0.276, 0.519)
S (0.724, 0.276, 0.981)

Main lines, by angle (2θ from 5° to 70°):
two_theta	Rel. int.
25.30	72.7
27.10	57.9
30.13	52.1
30.48	100.0
41.29	19.5
43.39	72.4
45.89	16.4
50.09	28.4
50.66	13.2
51.96	19.2
53.13	21.2
55.88	17.6

***

6.
For La2GaSb, a crystal structure in Alexandria, relaxed with GGA-PBE gives the simulated powder diffractogram in this record (Cu Kα, 1.54184 Å).
Kinematic intensities with the Lorentz-polarization factor, no thermal factor.

Structure:
Cell: 4.655 24.979 4.470 Å, 90.00 90.00 90.00°
Element x y z (fractional)
La (0.000, 0.060, 0.250)
La (0.000, 0.317, 0.250)
La (0.000, 0.683, 0.750)
La (0.000, 0.940, 0.750)
La (0.500, 0.183, 0.750)
La (0.500, 0.440, 0.750)
La (0.500, 0.560, 0.250)
La (0.500, 0.817, 0.250)
Ga (0.000, 0.467, 0.250)
Ga (0.000, 0.533, 0.750)
Ga (0.500, 0.033, 0.750)
Ga (0.500, 0.967, 0.250)
Sb (0.000, 0.188, 0.250)
Sb (0.000, 0.812, 0.750)
Sb (0.500, 0.312, 0.750)
Sb (0.500, 0.688, 0.250)

Main lines, by angle (2θ from 5° to 70°):
two_theta	Rel. int.
27.90	100.0
28.59	40.6
37.60	73.6
38.69	25.0
40.36	22.2
43.00	11.6
48.80	20.0
50.20	16.9
57.14	15.8
62.80	11.9
65.12	15.3
69.30	12.1

***

7.
For La5GaSb2, a crystal structure in Alexandria, relaxed with GGA-PBE gives the simulated powder diffractogram in this record (Cu Kα, 1.54184 Å).
Kinematic intensities with the Lorentz-polarization factor, no thermal factor.

Structure:
Cell: 6.868 6.850 7.239 Å, 58.27 58.03 63.70°
Element x y z (fractional)
La (0.000, 0.000, 0.000)
La (0.001, 0.499, 0.999)
La (0.499, 0.001, 0.501)
La (0.501, 0.999, 0.001)
La (0.999, 0.501, 0.499)
Ga (0.500, 0.500, 0.500)
Sb (0.000, 0.000, 0.500)
Sb (0.500, 0.500, 0.000)

Main lines, by angle (2θ from 5° to 70°):
two_theta	Rel. int.
15.62	2.2
31.55	100.0
34.98	18.9
35.15	18.7
39.48	13.6
50.43	13.3
53.75	11.0
53.88	10.9
60.60	15.2
60.82	15.1
65.86	11.8
66.67	11.4

***

8.
For LaSc3Ga2, a crystal structure in Alexandria, relaxed with GGA-PBE gives the simulated powder diffractogram in this record (Cu Kα, 1.54184 Å).
Kinematic intensities with the Lorentz-polarization factor, no thermal factor.

Structure:
Cell: 8.612 8.612 8.782 Å, 116.96 116.96 31.05°
Element x y z (fractional)
La (0.143, 0.143, 0.073)
La (0.857, 0.857, 0.927)
Sc (0.041, 0.041, 0.367)
Sc (0.314, 0.314, 0.568)
Sc (0.400, 0.400, 0.309)
Sc (0.600, 0.600, 0.691)
Sc (0.686, 0.686, 0.432)
Sc (0.959, 0.959, 0.633)
Ga (0.196, 0.196, 0.713)
Ga (0.487, 0.487, 0.847)
Ga (0.513, 0.513, 0.153)
Ga (0.804, 0.804, 0.287)

Main lines, by angle (2θ from 5° to 70°):
two_theta	Rel. int.
24.35	20.5
26.60	45.6
28.47	43.7
30.80	28.7
31.61	30.5
32.35	100.0
34.42	82.6
37.82	31.4
39.08	52.7
42.23	22.1
45.23	24.2
61.28	18.9

***

9.
For LaGaSe2, a crystal structure in Alexandria, relaxed with GGA-PBE gives the simulated powder diffractogram in this record (Cu Kα, 1.54184 Å).
Kinematic intensities with the Lorentz-polarization factor, no thermal factor.

Structure:
Cell: 4.308 5.875 7.970 Å, 90.00 90.00 90.00°
Element x y z (fractional)
La (0.000, 0.128, 0.000)
La (0.000, 0.872, 0.500)
Ga (0.500, 0.466, 0.162)
Ga (0.500, 0.534, 0.662)
Se (0.000, 0.376, 0.360)
Se (0.000, 0.624, 0.860)
Se (0.500, 0.113, 0.722)
Se (0.500, 0.887, 0.222)

Main lines, by angle (2θ from 5° to 70°):
two_theta	Rel. int.
18.76	15.4
28.02	32.5
30.56	100.0
32.48	54.0
34.24	48.5
37.14	21.7
38.79	62.2
41.94	34.8
42.85	18.4
48.23	19.1
54.03	25.0
65.80	14.8

***

10.
For LaGaSe2, a crystal structure in Alexandria, relaxed with GGA-PBE gives the simulated powder diffractogram in this record (Cu Kα, 1.54184 Å).
Kinematic intensities with the Lorentz-polarization factor, no thermal factor.

Structure:
Cell: 4.215 25.285 4.223 Å, 90.00 90.00 90.00°
Element x y z (fractional)
La (0.000, 0.175, 0.250)
La (0.000, 0.825, 0.750)
La (0.500, 0.325, 0.750)
La (0.500, 0.675, 0.250)
Ga (0.000, 0.474, 0.250)
Ga (0.000, 0.526, 0.750)
Ga (0.500, 0.026, 0.750)
Ga (0.500, 0.974, 0.250)
Se (0.000, 0.085, 0.750)
Se (0.000, 0.298, 0.250)
Se (0.000, 0.702, 0.750)
Se (0.000, 0.915, 0.250)
Se (0.500, 0.202, 0.750)
Se (0.500, 0.415, 0.250)
Se (0.500, 0.585, 0.750)
Se (0.500, 0.798, 0.250)

Main lines, by angle (2θ from 5° to 70°):
two_theta	Rel. int.
6.99	24.9
23.60	44.2
25.37	53.7
28.24	25.1
30.16	70.2
31.82	28.8
35.48	20.1
39.16	100.0
42.87	65.1
50.51	18.1
52.13	18.0
62.24	22.9

***

11.
For La2SmGaSe5, a crystal structure in Alexandria, relaxed with GGA-PBE gives the simulated powder diffractogram in this record (Cu Kα, 1.54184 Å).
Kinematic intensities with the Lorentz-polarization factor, no thermal factor.

Structure:
Cell: 9.250 9.250 12.725 Å, 90.00 90.00 154.11°
Element x y z (fractional)
La (0.121, 0.879, 0.500)
La (0.130, 0.870, 0.876)
La (0.870, 0.130, 0.376)
La (0.879, 0.121, 0.000)
Sm (0.187, 0.813, 0.192)
Sm (0.813, 0.187, 0.692)
Ga (0.436, 0.564, 0.673)
Ga (0.564, 0.436, 0.173)
Se (0.026, 0.974, 0.280)
Se (0.294, 0.706, 0.521)
Se (0.303, 0.697, 0.858)
Se (0.350, 0.650, 0.193)
Se (0.491, 0.509, 0.491)
Se (0.509, 0.491, 0.991)
Se (0.650, 0.350, 0.693)
Se (0.697, 0.303, 0.358)
Se (0.706, 0.294, 0.021)
Se (0.974, 0.026, 0.780)

Main lines, by angle (2θ from 5° to 70°):
two_theta	Rel. int.
23.17	15.6
26.13	14.6
29.73	13.7
30.57	100.0
35.91	44.3
39.35	18.7
42.60	18.1
43.71	29.3
46.77	11.4
54.26	10.7
62.67	17.1
65.93	7.5

***

12.
For La3Ga2Si4, a crystal structure in Alexandria, relaxed with GGA-PBE gives the simulated powder diffractogram in this record (Cu Kα, 1.54184 Å).
Kinematic intensities with the Lorentz-polarization factor, no thermal factor.

Structure:
Cell: 6.057 6.057 8.429 Å, 97.66 97.66 40.79°
Element x y z (fractional)
La (0.000, 0.000, 0.000)
La (0.334, 0.334, 0.330)
La (0.666, 0.666, 0.670)
Ga (0.387, 0.387, 0.722)
Ga (0.613, 0.613, 0.278)
Si (0.056, 0.056, 0.391)
Si (0.277, 0.277, 0.951)
Si (0.723, 0.723, 0.049)
Si (0.944, 0.944, 0.609)

Main lines, by angle (2θ from 5° to 70°):
two_theta	Rel. int.
24.43	50.2
24.70	24.2
31.93	100.0
31.96	94.5
32.16	95.0
41.21	36.7
42.84	32.9
43.33	64.0
54.56	41.7
60.95	22.7
61.33	44.4
69.33	24.8